1.
Diffraction record for Na2ZnS2. The XRD peak list is theoretical, not measured: it uses the PBE geometry in the Materials Project and Cu Kα (weighted mean of Kα1 and Kα2).
Neutral-atom scattering factors, no anomalous dispersion.

Principal peaks in the range 2θ = 5–70°, sorted by position:
2θ (°)  I/Imax
9.47  100
18.67  47
20.42  31
22.73  51
30.10  33
31.72  60
35.10  29
40.65  28
42.35  28
42.52  40

Crystal structure
```
Na2ZnS2
1.0
6.756 0.000 0.000
0.000 18.676 0.000
0.000 0.000 7.165
Na Zn S
16 8 16
direct
0.011 0.068 0.186
0.011 0.432 0.686
0.178 0.701 0.044
0.178 0.799 0.544
0.322 0.201 0.044
0.322 0.299 0.544
0.489 0.568 0.186
0.489 0.932 0.686
0.511 0.068 0.314
0.511 0.432 0.814
0.678 0.701 0.456
0.678 0.799 0.956
0.822 0.201 0.456
0.822 0.299 0.956
0.989 0.568 0.314
0.989 0.932 0.814
0.134 0.079 0.621
0.134 0.421 0.121
0.366 0.579 0.621
0.366 0.921 0.121
0.634 0.079 0.879
0.634 0.421 0.379
0.866 0.579 0.879
0.866 0.921 0.379
0.208 0.548 0.895
0.208 0.952 0.395
0.225 0.166 0.422
0.225 0.334 0.922
0.275 0.666 0.422
0.275 0.834 0.922
0.292 0.048 0.895
0.292 0.452 0.395
0.708 0.548 0.605
0.708 0.952 0.105
0.725 0.166 0.078
0.725 0.334 0.578
0.775 0.666 0.078
0.775 0.834 0.578
0.792 0.048 0.605
0.792 0.452 0.105
```


2.
Diffraction record for Na19Zr11S30. The XRD peak list is theoretical, not measured: it uses the PBE geometry in the Materials Project and Cu Kα (weighted mean of Kα1 and Kα2).
Neutral-atom scattering factors, no anomalous dispersion.

Principal peaks in the range 2θ = 5–70°, sorted by position:
2θ (°)  I/Imax
13.27  66
16.05  11
27.23  19
32.31  50
32.39  100
41.72  11
45.39  51
47.44  47
49.48  12
58.60  24

Crystal structure
```
Na19Zr11S30
1.0
10.211 -5.748 0.000
10.211 5.748 0.000
-2.358 0.000 10.851
Na Zr S
19 11 30
direct
0.000 0.000 0.000
0.059 0.739 0.197
0.140 0.460 0.400
0.200 0.200 0.100
0.202 0.202 0.601
0.261 0.941 0.803
0.341 0.659 0.000
0.400 0.400 0.200
0.400 0.400 0.701
0.460 0.140 0.400
0.540 0.860 0.600
0.600 0.600 0.299
0.600 0.600 0.800
0.659 0.341 0.000
0.739 0.059 0.197
0.798 0.798 0.399
0.800 0.800 0.900
0.860 0.540 0.600
0.941 0.261 0.803
0.000 0.000 0.500
0.068 0.732 0.700
0.132 0.470 0.899
0.268 0.932 0.300
0.337 0.663 0.500
0.470 0.132 0.899
0.530 0.868 0.101
0.663 0.337 0.500
0.732 0.068 0.700
0.868 0.530 0.101
0.932 0.268 0.300
0.008 0.008 0.264
0.075 0.718 0.931
0.076 0.741 0.465
0.115 0.476 0.131
0.124 0.486 0.666
0.187 0.187 0.348
0.214 0.214 0.853
0.259 0.924 0.535
0.282 0.925 0.069
0.315 0.676 0.731
0.324 0.685 0.269
0.387 0.387 0.947
0.411 0.411 0.453
0.476 0.115 0.131
0.486 0.124 0.666
0.514 0.876 0.334
0.524 0.885 0.869
0.589 0.589 0.547
0.613 0.613 0.053
0.676 0.315 0.731
0.685 0.324 0.269
0.718 0.075 0.931
0.741 0.076 0.465
0.786 0.786 0.147
0.813 0.813 0.652
0.876 0.514 0.334
0.885 0.524 0.869
0.924 0.259 0.535
0.925 0.282 0.069
0.992 0.992 0.736
```


3.
Diffraction record for NaSbSe2. The XRD peak list is theoretical, not measured: it uses the PBE geometry in the Materials Project and Cu Kα (weighted mean of Kα1 and Kα2).
Neutral-atom scattering factors, no anomalous dispersion.

Principal peaks in the range 2θ = 5–70°, sorted by position:
2θ (°)  I/Imax
12.49  36
25.10  14
29.99  100
38.80  10
42.28  37
43.57  36
45.50  9
53.81  24
62.33  12
69.77  16

Crystal structure
```
NaSbSe2
1.0
2.077 1.199 7.087
-2.077 1.199 7.087
0.000 -2.399 7.087
Na Sb Se
1 1 2
direct
0.000 0.000 0.000
0.500 0.500 0.500
0.245 0.245 0.245
0.755 0.755 0.755
```


4.
Diffraction record for NaSbSe2. The XRD peak list is theoretical, not measured: it uses the PBE geometry in the Materials Project and Cu Kα (weighted mean of Kα1 and Kα2).
Neutral-atom scattering factors, no anomalous dispersion.

Principal peaks in the range 2θ = 5–70°, sorted by position:
2θ (°)  I/Imax
15.51  25
21.25  24
30.23  100
31.31  46
34.14  14
38.15  11
43.28  37
44.07  70
54.38  37
62.86  12

Crystal structure
```
NaSbSe2
1.0
4.181 0.000 0.000
0.000 4.181 0.000
0.000 0.000 5.715
Na Sb Se
1 1 2
direct
0.000 0.000 0.000
0.500 0.500 0.500
0.000 0.000 0.500
0.500 0.500 0.000
```


5.
Diffraction record for Na8SnSb4. The XRD peak list is theoretical, not measured: it uses the PBE geometry in the Materials Project and Cu Kα (weighted mean of Kα1 and Kα2).
Neutral-atom scattering factors, no anomalous dispersion.

Principal peaks in the range 2θ = 5–70°, sorted by position:
2θ (°)  I/Imax
10.26  51
20.60  75
31.12  17
33.96  100
35.57  16
40.05  31
46.72  21
48.79  15
60.77  25
64.55  15

Crystal structure
```
Na8SnSb4
1.0
0.000 7.467 7.467
7.467 0.000 7.467
7.467 7.467 0.000
Na Sn Sb
16 2 8
direct
0.000 0.000 0.000
0.000 0.000 0.500
0.000 0.500 0.000
0.145 0.145 0.605
0.145 0.605 0.145
0.145 0.605 0.605
0.395 0.395 0.855
0.395 0.855 0.395
0.395 0.855 0.855
0.500 0.000 0.000
0.605 0.145 0.145
0.605 0.145 0.605
0.605 0.605 0.145
0.855 0.395 0.395
0.855 0.395 0.855
0.855 0.855 0.395
0.125 0.125 0.125
0.875 0.875 0.875
0.210 0.763 0.763
0.237 0.237 0.237
0.237 0.237 0.790
0.237 0.790 0.237
0.763 0.210 0.763
0.763 0.763 0.210
0.763 0.763 0.763
0.790 0.237 0.237
```


6.
Diffraction record for NaSbTe2. The XRD peak list is theoretical, not measured: it uses the PBE geometry in the Materials Project and Cu Kα (weighted mean of Kα1 and Kα2).
Neutral-atom scattering factors, no anomalous dispersion.

Principal peaks in the range 2θ = 5–70°, sorted by position:
2θ (°)  I/Imax
14.30  15
24.63  19
28.35  100
28.83  48
40.52  38
40.87  74
50.49  40
66.40  17
66.65  17
67.39  16

Crystal structure
```
NaSbTe2
1.0
4.452 0.000 0.000
0.000 4.452 0.000
0.000 0.000 6.194
Na Sb Te
1 1 2
direct
0.000 0.000 0.000
0.500 0.500 0.500
0.000 0.000 0.500
0.500 0.500 0.000
```


7.
Diffraction record for NaSbTe2. The XRD peak list is theoretical, not measured: it uses the PBE geometry in the Materials Project and Cu Kα (weighted mean of Kα1 and Kα2).
Neutral-atom scattering factors, no anomalous dispersion.

Principal peaks in the range 2θ = 5–70°, sorted by position:
2θ (°)  I/Imax
11.67  26
23.45  11
24.42  10
28.00  100
39.40  38
40.61  37
50.05  25
57.87  12
64.63  17
66.35  19

Crystal structure
```
NaSbTe2
1.0
2.221 1.283 7.584
-2.221 1.283 7.584
0.000 -2.565 7.584
Na Sb Te
1 1 2
direct
0.000 0.000 0.000
0.500 0.500 0.500
0.244 0.244 0.244
0.756 0.756 0.756
```


8.
Diffraction record for NaTl2Sb. The XRD peak list is theoretical, not measured: it uses the PBE geometry in the Materials Project and Cu Kα (weighted mean of Kα1 and Kα2).
Neutral-atom scattering factors, no anomalous dispersion.

Principal peaks in the range 2θ = 5–70°, sorted by position:
2θ (°)  I/Imax
19.62  7
22.69  26
32.31  100
38.09  4
39.85  8
46.35  19
50.79  2
52.20  12
57.63  39
67.63  12

Crystal structure
```
NaTl2Sb
1.0
0.000 3.918 3.918
3.918 0.000 3.918
3.918 3.918 0.000
Na Tl Sb
1 2 1
direct
0.000 0.000 0.000
0.250 0.250 0.250
0.750 0.750 0.750
0.500 0.500 0.500
```


Copy entry 1 word for word.
Diffraction record for Na2ZnS2. The XRD peak list is theoretical, not measured: it uses the PBE geometry in the Materials Project and Cu Kα (weighted mean of Kα1 and Kα2).
Neutral-atom scattering factors, no anomalous dispersion.

Principal peaks in the range 2θ = 5–70°, sorted by position:
2θ (°)  I/Imax
9.47  100
18.67  47
20.42  31
22.73  51
30.10  33
31.72  60
35.10  29
40.65  28
42.35  28
42.52  40

Crystal structure
```
Na2ZnS2
1.0
6.756 0.000 0.000
0.000 18.676 0.000
0.000 0.000 7.165
Na Zn S
16 8 16
direct
0.011 0.068 0.186
0.011 0.432 0.686
0.178 0.701 0.044
0.178 0.799 0.544
0.322 0.201 0.044
0.322 0.299 0.544
0.489 0.568 0.186
0.489 0.932 0.686
0.511 0.068 0.314
0.511 0.432 0.814
0.678 0.701 0.456
0.678 0.799 0.956
0.822 0.201 0.456
0.822 0.299 0.956
0.989 0.568 0.314
0.989 0.932 0.814
0.134 0.079 0.621
0.134 0.421 0.121
0.366 0.579 0.621
0.366 0.921 0.121
0.634 0.079 0.879
0.634 0.421 0.379
0.866 0.579 0.879
0.866 0.921 0.379
0.208 0.548 0.895
0.208 0.952 0.395
0.225 0.166 0.422
0.225 0.334 0.922
0.275 0.666 0.422
0.275 0.834 0.922
0.292 0.048 0.895
0.292 0.452 0.395
0.708 0.548 0.605
0.708 0.952 0.105
0.725 0.166 0.078
0.725 0.334 0.578
0.775 0.666 0.078
0.775 0.834 0.578
0.792 0.048 0.605
0.792 0.452 0.105
```


Copy entry 8 word for word.
Diffraction record for NaTl2Sb. The XRD peak list is theoretical, not measured: it uses the PBE geometry in the Materials Project and Cu Kα (weighted mean of Kα1 and Kα2).
Neutral-atom scattering factors, no anomalous dispersion.

Principal peaks in the range 2θ = 5–70°, sorted by position:
2θ (°)  I/Imax
19.62  7
22.69  26
32.31  100
38.09  4
39.85  8
46.35  19
50.79  2
52.20  12
57.63  39
67.63  12

Crystal structure
```
NaTl2Sb
1.0
0.000 3.918 3.918
3.918 0.000 3.918
3.918 3.918 0.000
Na Tl Sb
1 2 1
direct
0.000 0.000 0.000
0.250 0.250 0.250
0.750 0.750 0.750
0.500 0.500 0.500
```